Calculated powder diffraction line list of CaHfCr2O6 for Cu Ka, from a DFT-relaxed cell (PBE+U, Alexandria).
No peak broadening, texture or thermal motion is included.

Crystal structure
```
data_CaHfCr2O6
_symmetry_space_group_name_H-M 'R 3'
_symmetry_Int_Tables_number 146
_symmetry_space_group_name_Hall 'R 3'
_cell_length_a 5.3548
_cell_length_b 5.3548
_cell_length_c 14.0127
_cell_angle_alpha 90.00
_cell_angle_beta 90.00
_cell_angle_gamma 120.00
loop_
_atom_site_label
_atom_site_type_symbol
_atom_site_fract_x
_atom_site_fract_y
_atom_site_fract_z
Ca1 Ca 0.0000 0.0000 0.0000
Hf1 Hf 0.0000 0.0000 0.5156
Cr1 Cr 0.0000 0.0000 0.2206
Cr2 Cr 0.0000 0.0000 0.7236
O1 O 0.0346 0.3430 0.7979
O2 O 0.0859 0.7271 0.2908
```

The 10 most intense peaks (2θ from 10° to 90°), in order of falling intensity:
2theta  Rel. int.
32.02  100.0
33.47  94.0
20.17  79.6
23.00  53.6
51.96  46.4
47.00  43.4
58.92  38.0
38.77  37.1
19.00  32.3
59.83  30.2